Calculated PXRD pattern of BaNa2VO4 for Cu Kα, from the GGA+U geometry in Alexandria.
No peak broadening, texture or thermal motion is included.

Cell and atoms:
a b c (Å): 5.5186 5.4942 5.8923
angles (deg): 57.85 57.45 64.69
Sites, in units of the cell vectors:
Ba  0.0000  0.0000  0.0000
Na  0.2504  0.2504  0.2496
Na  0.7504  0.7504  0.7496
V  0.4986  0.4986  0.5014
O  0.1753  0.5504  0.8247
O  0.4439  0.8187  0.1813
O  0.5504  0.1753  0.4496
O  0.8187  0.4439  0.5561

Largest 10 diffraction maxima, sorted by position, 2θ = 10–90°:
2θ/deg	Rel. int.
19.47	47
21.24	55
21.41	54
30.34	73
32.82	98
32.93	100
39.53	40
55.42	41
55.64	52
60.25	41

Calculated PXRD pattern of BaNaV2O6 for Cu Kα, from the GGA+U geometry in Alexandria.
No peak broadening, texture or thermal motion is included.

Cell and atoms:
a b c (Å): 7.5225 7.5225 5.8275
angles (deg): 100.04 100.04 87.20
Sites, in units of the cell vectors:
Ba  0.1874  0.8126  0.7500
Ba  0.8126  0.1874  0.2500
Na  0.4138  0.5862  0.2500
Na  0.5862  0.4138  0.7500
V  0.1261  0.3103  0.7863
V  0.3103  0.1261  0.2863
V  0.6897  0.8739  0.7137
V  0.8739  0.6897  0.2137
O  0.0925  0.6218  0.2985
O  0.1412  0.1721  0.0271
O  0.1721  0.1412  0.5271
O  0.2806  0.4791  0.8489
O  0.3782  0.9075  0.2015
O  0.4791  0.2806  0.3489
O  0.5209  0.7194  0.6511
O  0.6218  0.0925  0.7985
O  0.7194  0.5209  0.1511
O  0.8279  0.8588  0.4729
O  0.8588  0.8279  0.9729
O  0.9075  0.3782  0.7015

Largest 10 diffraction maxima, sorted by position, 2θ = 10–90°:
2θ/deg	Rel. int.
11.95	33
18.06	31
21.31	44
24.03	47
26.45	100
27.77	56
31.02	57
31.64	48
34.16	28
38.16	40